Starting from a crystal structure in the Materials Project, relaxed with GGA-PBE, the powder XRD pattern of Cu2C4NCl3 was computed for a wavelength of 1.5418 Å.
Peak positions follow from Bragg's law for the DFT cell and can differ from measured ones.

Largest 10 diffraction maxima, by intensity, 10 to 90 degrees two-theta:
- (1 0 1), 2θ 11.49, rel. 100.0
- (2 2 3), 2θ 44.18, rel. 22.9
- (0 0 2), 2θ 19.69, rel. 19.7
- (3 2 2), 2θ 40.27, rel. 17.2
- (2 0 1), 2θ 15.49, rel. 16.6
- (4 1 0), 2θ 28.27, rel. 16.5
- (2 0 0), 2θ 11.96, rel. 14.9
- (4 0 0), 2θ 24.06, rel. 13.8
- (5 2 1), 2θ 43.96, rel. 13.5
- (2 1 2), 2θ 27.45, rel. 13.4

Unit cell a=14.7968 b=6.0539 c=9.0184 alpha=90.00 beta=90.00 gamma=90.00
Space group Pnma (No. 62)
Inequivalent atoms, fractional coordinates:
Cu 0.0930 0.0077 0.0761
C 0.1005 0.7500 0.4847
C 0.1309 0.5557 0.5683
C 0.1996 0.7500 0.4295
N 0.1915 0.7500 0.5995
Cl 0.0433 0.2500 0.8829
Cl 0.0824 0.2500 0.2593
Cl 0.1800 0.7500 0.9773


Starting from a crystal structure in the Materials Project, relaxed with GGA-PBE, the powder XRD pattern of Cs2PdI6 was computed for a wavelength of 1.5418 Å.
Peak positions follow from Bragg's law for the DFT cell and can differ from measured ones.

Largest 10 diffraction maxima, by intensity, 10 to 90 degrees two-theta:
- (2 2 2), 2θ 26.24, rel. 100.0
- (4 0 0), 2θ 30.39, rel. 78.6
- (4 4 0), 2θ 43.52, rel. 55.1
- (6 2 2), 2θ 51.53, rel. 40.5
- (1 1 1), 2θ 13.03, rel. 25.4
- (8 4 0), 2θ 71.77, rel. 21.5
- (4 4 4), 2θ 54.00, rel. 18.4
- (8 4 4), 2θ 79.89, rel. 15.3
- (6 6 2), 2θ 69.68, rel. 14.5
- (5 1 1), 2θ 39.82, rel. 12.4

Unit cell a=11.7639 b=11.7639 c=11.7639 alpha=90.00 beta=90.00 gamma=90.00
Space group Fm-3m (No. 225)
Inequivalent atoms, fractional coordinates:
Cs 0.2500 0.2500 0.2500
Pd 0.0000 0.0000 0.0000
I 0.0000 0.0000 0.2316


Starting from a crystal structure in the Materials Project, relaxed with GGA-PBE, the powder XRD pattern of Dy2Ge5Rh3 was computed for a wavelength of 1.5418 Å.
Peak positions follow from Bragg's law for the DFT cell and can differ from measured ones.

Largest 10 diffraction maxima, by intensity, 10 to 90 degrees two-theta:
- (2 4 -2), 2θ 42.52, rel. 100.0
- (2 4 0), 2θ 34.27, rel. 81.5
- (4 2 -1), 2θ 34.67, rel. 68.8
- (0 0 2), 2θ 34.51, rel. 62.7
- (2 2 1), 2θ 33.49, rel. 53.0
- (4 0 -2), 2θ 36.04, rel. 35.7
- (3 3 -2), 2θ 39.02, rel. 25.4
- (0 4 0), 2θ 29.12, rel. 20.6
- (2 0 -2), 2θ 30.29, rel. 19.0
- (4 0 -4), 2θ 63.01, rel. 18.8

Unit cell a=11.4136 b=12.2667 c=5.9079 alpha=90.00 beta=118.37 gamma=90.00
Space group C2/c (No. 15)
Inequivalent atoms, fractional coordinates:
Dy 0.2310 0.1389 0.2369
Ge 0.0000 0.0126 0.2500
Ge 0.0000 0.2783 0.2500
Ge 0.0000 0.2931 0.7500
Ge 0.1701 0.4050 0.1689
Rh 0.0000 0.4987 0.7500
Rh 0.0965 0.1422 0.6246


Starting from a crystal structure in the Materials Project, relaxed with GGA-PBE, the powder XRD pattern of NaIn2Au was computed for a wavelength of 1.5418 Å.
Peak positions follow from Bragg's law for the DFT cell and can differ from measured ones.

Largest 10 diffraction maxima, by intensity, 10 to 90 degrees two-theta:
- (1 1 3), 2θ 39.84, rel. 100.0
- (0 2 0), 2θ 16.93, rel. 80.1
- (1 3 2), 2θ 39.39, rel. 69.9
- (1 3 1), 2θ 34.11, rel. 65.1
- (1 1 2), 2θ 30.73, rel. 59.7
- (1 1 1), 2θ 23.85, rel. 50.5
- (2 0 0), 2θ 39.18, rel. 48.7
- (0 2 1), 2θ 20.23, rel. 47.5
- (0 4 2), 2θ 41.13, rel. 35.5
- (2 4 2), 2θ 58.10, rel. 25.4

Unit cell a=4.5991 b=10.4738 c=8.0490 alpha=90.00 beta=90.00 gamma=90.00
Space group Cmcm (No. 63)
Inequivalent atoms, fractional coordinates:
Na 0.0000 0.0703 0.2500
In 0.0000 0.3597 0.0527
Au 0.0000 0.2157 0.7500


Starting from a crystal structure in the Materials Project, relaxed with GGA-PBE, the powder XRD pattern of InPd3 was computed for a wavelength of 1.5418 Å.
Peak positions follow from Bragg's law for the DFT cell and can differ from measured ones.

Largest 7 diffraction maxima, by intensity, 10 to 90 degrees two-theta:
- (1 1 2), 2θ 38.64, rel. 100.0
- (2 0 0), 2θ 43.38, rel. 35.8
- (3 1 2), 2θ 76.43, rel. 25.9
- (2 2 4), 2θ 82.90, rel. 21.1
- (2 0 4), 2θ 66.57, rel. 19.4
- (0 0 4), 2θ 47.87, rel. 13.4
- (2 2 0), 2θ 63.03, rel. 11.5

Unit cell a=4.1717 b=4.1717 c=7.6013 alpha=90.00 beta=90.00 gamma=90.00
Space group I4/mmm (No. 139)
Inequivalent atoms, fractional coordinates:
In 0.0000 0.0000 0.0000
Pd 0.0000 0.0000 0.5000
Pd 0.0000 0.5000 0.2500


> Which formula does entry 4 have?

NaIn2Au


Please write out number 3 again, unchanged.
Starting from a crystal structure in the Materials Project, relaxed with GGA-PBE, the powder XRD pattern of Dy2Ge5Rh3 was computed for a wavelength of 1.5418 Å.
Peak positions follow from Bragg's law for the DFT cell and can differ from measured ones.

Largest 10 diffraction maxima, by intensity, 10 to 90 degrees two-theta:
- (2 4 -2), 2θ 42.52, rel. 100.0
- (2 4 0), 2θ 34.27, rel. 81.5
- (4 2 -1), 2θ 34.67, rel. 68.8
- (0 0 2), 2θ 34.51, rel. 62.7
- (2 2 1), 2θ 33.49, rel. 53.0
- (4 0 -2), 2θ 36.04, rel. 35.7
- (3 3 -2), 2θ 39.02, rel. 25.4
- (0 4 0), 2θ 29.12, rel. 20.6
- (2 0 -2), 2θ 30.29, rel. 19.0
- (4 0 -4), 2θ 63.01, rel. 18.8

Unit cell a=11.4136 b=12.2667 c=5.9079 alpha=90.00 beta=118.37 gamma=90.00
Space group C2/c (No. 15)
Inequivalent atoms, fractional coordinates:
Dy 0.2310 0.1389 0.2369
Ge 0.0000 0.0126 0.2500
Ge 0.0000 0.2783 0.2500
Ge 0.0000 0.2931 0.7500
Ge 0.1701 0.4050 0.1689
Rh 0.0000 0.4987 0.7500
Rh 0.0965 0.1422 0.6246